Record 1
For Ca2Ga2SiAu4, a crystal structure in Alexandria, relaxed with GGA-PBE gives the computed X-ray diffraction stick pattern in this record (Cu Kα X-rays).

Most intense lines, 10° ≤ 2θ ≤ 90°, sorted by position:
- 2θ 21.1, I = 37
- 2θ 26.6, I = 28
- 2θ 34.2, I = 100
- 2θ 38.0, I = 45
- 2θ 43.0, I = 12
- 2θ 43.9, I = 22
- 2θ 51.3, I = 17
- 2θ 54.9, I = 15
- 2θ 58.7, I = 19
- 2θ 66.3, I = 27

Atomic structure:
Cell: 6.333 6.333 6.333 Å, 116.23 116.23 96.66°
Fractional positions:
Ca (0.250, 0.750, 0.500)
Ca (0.750, 0.250, 0.500)
Ga (0.186, 0.186, 0.000)
Ga (0.814, 0.814, 0.000)
Si (0.500, 0.500, 0.000)
Au (0.236, 0.236, 0.473)
Au (0.236, 0.764, 0.000)
Au (0.764, 0.236, 0.000)
Au (0.764, 0.764, 0.527)

Record 2
For CsPu4Cl12, a crystal structure in Alexandria, relaxed with GGA-PBE gives the computed X-ray diffraction stick pattern in this record (Cu Kα X-rays).

Most intense lines, 10° ≤ 2θ ≤ 90°, sorted by position:
- 2θ 16.7, I = 100
- 2θ 23.7, I = 91
- 2θ 33.7, I = 39
- 2θ 37.8, I = 55
- 2θ 41.6, I = 59
- 2θ 48.4, I = 23
- 2θ 51.6, I = 24
- 2θ 54.6, I = 22
- 2θ 65.7, I = 29
- 2θ 75.9, I = 20

Atomic structure:
Cell: 9.211 9.211 9.211 Å, 109.47 109.47 109.47°
Fractional positions:
Cs (0.000, 0.000, 0.000)
Pu (0.000, 0.000, 0.500)
Pu (0.000, 0.500, 0.000)
Pu (0.500, 0.000, 0.000)
Pu (0.500, 0.500, 0.500)
Cl (0.094, 0.807, 0.287)
Cl (0.193, 0.287, 0.480)
Cl (0.193, 0.713, 0.906)
Cl (0.287, 0.094, 0.807)
Cl (0.287, 0.480, 0.193)
Cl (0.480, 0.193, 0.287)
Cl (0.520, 0.807, 0.713)
Cl (0.713, 0.520, 0.807)
Cl (0.713, 0.906, 0.193)
Cl (0.807, 0.287, 0.094)
Cl (0.807, 0.713, 0.520)
Cl (0.906, 0.193, 0.713)

Record 3
For Er2ScAs3, a crystal structure in Alexandria, relaxed with GGA-PBE gives the computed X-ray diffraction stick pattern in this record (Cu Kα X-rays).

Most intense lines, 10° ≤ 2θ ≤ 90°, sorted by position:
- 2θ 10.4, I = 14
- 2θ 22.7, I = 11
- 2θ 27.2, I = 11
- 2θ 31.5, I = 100
- 2θ 45.1, I = 73
- 2θ 56.0, I = 26
- 2θ 74.6, I = 22
- 2θ 74.8, I = 11
- 2θ 83.2, I = 16
- 2θ 83.3, I = 8

Atomic structure:
Cell: 8.976 8.976 8.976 Å, 154.09 154.09 36.97°
Fractional positions:
Er (0.166, 0.166, 0.000)
Er (0.834, 0.834, 0.000)
Sc (0.500, 0.500, 0.000)
As (0.000, 0.000, 0.000)
As (0.337, 0.337, 0.000)
As (0.663, 0.663, 0.000)